# 1
Structure and calculated powder X-ray diffraction pattern of LiTiV2CrO10 (a crystal structure in the Materials Project, relaxed with PBE+U; Cu Kα, 1.54184 Å).
Kinematic intensities with the Lorentz-polarization factor, no thermal factor.

Principal peaks in the range 2θ = 10–80°, low angle first:
| 2θ/deg | intensity | hkl |
| --- | --- | --- |
| 16.8 | 100 | 0 0 1 |
| 21.6 | 30 | 1 0 1 |
| 27.2 | 71 | 2 0 0 |
| 32.1 | 51 | 2 0 1 |
| 42.6 | 14 | 2 2 1 |
| 56.1 | 14 | 4 0 0 |

Atomic structure:
```
data_LiTiV2CrO10
_symmetry_space_group_name_H-M 'P -4 m 2'
_symmetry_Int_Tables_number 115
_cell_length_a 6.561
_cell_length_b 6.561
_cell_length_c 5.281
_cell_angle_alpha 90.00
_cell_angle_beta 90.00
_cell_angle_gamma 90.00
loop_
_symmetry_equiv_pos_as_xyz
'x,y,z'
'y,-x,-z'
'-x,-y,z'
'-y,x,-z'
'-x,y,z'
'-y,-x,-z'
'x,-y,z'
'y,x,-z'
loop_
_atom_site_label
_atom_site_type_symbol
_atom_site_fract_x
_atom_site_fract_y
_atom_site_fract_z
Li1 Li 0.000 0.000 0.000
Ti1 Ti 0.500 0.500 0.500
V1 V 0.000 0.500 0.610
Cr1 Cr 0.000 0.000 0.500
O1 O 0.000 0.205 0.704
O2 O 0.000 0.500 0.303
O3 O 0.270 0.500 0.699
```

***

# 2
Structure and calculated powder X-ray diffraction pattern of Li3VCr3O8 (a crystal structure in the Materials Project, relaxed with PBE+U; Cu Kα, 1.54184 Å).
Kinematic intensities with the Lorentz-polarization factor, no thermal factor.

Principal peaks in the range 2θ = 10–80°, low angle first:
| 2θ/deg | intensity | hkl |
| --- | --- | --- |
| 18.1 | 100 | 1 0 -1 |
| 35.5 | 24 | 0 2 2 |
| 42.7 | 24 | 2 -1 1 |
| 42.9 | 23 | 1 3 -2 |
| 43.2 | 23 | -1 2 3 |
| 62.4 | 13 | 1 -4 3 |

Atomic structure:
```
data_Li3VCr3O8
_symmetry_space_group_name_H-M 'P 1'
_symmetry_Int_Tables_number 1
_cell_length_a 5.193
_cell_length_b 7.842
_cell_length_c 7.868
_cell_angle_alpha 94.38
_cell_angle_beta 109.15
_cell_angle_gamma 96.07
loop_
_symmetry_equiv_pos_as_xyz
'x,y,z'
loop_
_atom_site_label
_atom_site_type_symbol
_atom_site_fract_x
_atom_site_fract_y
_atom_site_fract_z
Li1 Li 0.000 0.000 0.000
Li2 Li 0.120 0.373 0.121
Li3 Li 0.366 0.110 0.375
Li4 Li 0.498 0.496 0.507
Li5 Li 0.619 0.879 0.630
Li6 Li 0.876 0.622 0.880
V1 V 0.678 0.563 0.190
V2 V 0.929 0.306 0.448
Cr1 Cr 0.071 0.686 0.562
Cr2 Cr 0.187 0.062 0.693
Cr3 Cr 0.315 0.435 0.816
Cr4 Cr 0.427 0.811 0.941
Cr5 Cr 0.568 0.186 0.063
Cr6 Cr 0.813 0.933 0.310
O1 O 0.044 0.843 0.774
O2 O 0.058 0.509 0.352
O3 O 0.194 0.220 0.910
O4 O 0.194 0.908 0.481
O5 O 0.304 0.281 0.595
O6 O 0.306 0.588 0.030
O7 O 0.435 0.976 0.152
O8 O 0.447 0.652 0.725
O9 O 0.553 0.346 0.283
O10 O 0.562 0.022 0.852
O11 O 0.687 0.710 0.399
O12 O 0.706 0.417 0.993
O13 O 0.797 0.096 0.518
O14 O 0.803 0.773 0.096
O15 O 0.933 0.470 0.652
O16 O 0.951 0.154 0.229
```

***

# 3
Structure and calculated powder X-ray diffraction pattern of Li3VCr3O8 (a crystal structure in the Materials Project, relaxed with PBE+U; Cu Kα, 1.54184 Å).
Kinematic intensities with the Lorentz-polarization factor, no thermal factor.

Principal peaks in the range 2θ = 10–80°, low angle first:
| 2θ/deg | intensity | hkl |
| --- | --- | --- |
| 18.1 | 100 | 0 0 1 |
| 35.8 | 24 | 2 2 -1 |
| 42.6 | 24 | 4 0 0 |
| 43.3 | 46 | 2 2 -2 |
| 62.1 | 12 | 2 2 2 |
| 62.6 | 13 | 6 2 -2 |

Atomic structure:
```
data_Li3VCr3O8
_symmetry_space_group_name_H-M 'C 1 2/m 1'
_symmetry_Int_Tables_number 12
_cell_length_a 10.329
_cell_length_b 5.864
_cell_length_c 5.948
_cell_angle_alpha 90.00
_cell_angle_beta 124.64
_cell_angle_gamma 90.00
loop_
_symmetry_equiv_pos_as_xyz
'x,y,z'
'-x,-y,-z'
'-x,y,-z'
'x,-y,z'
'x+1/2,y+1/2,z'
'-x+1/2,-y+1/2,-z'
'-x+1/2,y+1/2,-z'
'x+1/2,-y+1/2,z'
loop_
_atom_site_label
_atom_site_type_symbol
_atom_site_fract_x
_atom_site_fract_y
_atom_site_fract_z
Li1 Li 0.000 0.000 0.000
Li2 Li 0.250 0.250 0.000
V1 V 0.000 0.500 0.500
Cr1 Cr 0.000 0.000 0.500
Cr2 Cr 0.250 0.250 0.500
O1 O 0.010 0.256 0.284
O2 O 0.233 0.000 0.714
O3 O 0.238 0.500 0.725
```

***

# 4
Structure and calculated powder X-ray diffraction pattern of LiV3CrO8 (a crystal structure in the Materials Project, relaxed with PBE+U; Cu Kα, 1.54184 Å).
Kinematic intensities with the Lorentz-polarization factor, no thermal factor.

Principal peaks in the range 2θ = 10–80°, low angle first:
| 2θ/deg | intensity | hkl |
| --- | --- | --- |
| 17.7 | 100 | 1 0 -1 |
| 35.0 | 20 | 0 2 1 |
| 36.3 | 9 | 0 0 4 |
| 41.8 | 17 | 2 -2 1 |
| 42.3 | 17 | 1 2 0 |
| 44.0 | 15 | 1 0 -5 |

Atomic structure:
```
data_LiV3CrO8
_symmetry_space_group_name_H-M 'P 1'
_symmetry_Int_Tables_number 1
_cell_length_a 5.351
_cell_length_b 6.033
_cell_length_c 10.457
_cell_angle_alpha 97.50
_cell_angle_beta 103.96
_cell_angle_gamma 107.34
loop_
_symmetry_equiv_pos_as_xyz
'x,y,z'
loop_
_atom_site_label
_atom_site_type_symbol
_atom_site_fract_x
_atom_site_fract_y
_atom_site_fract_z
Li1 Li 0.000 0.000 0.000
Li2 Li 0.493 0.749 0.501
V1 V 0.079 0.429 0.633
V2 V 0.387 0.817 0.875
V3 V 0.405 0.315 0.872
V4 V 0.597 0.673 0.133
V5 V 0.617 0.188 0.135
V6 V 0.918 0.069 0.376
Cr1 Cr 0.112 0.934 0.630
Cr2 Cr 0.876 0.560 0.377
O1 O 0.115 0.476 0.814
O2 O 0.129 0.988 0.827
O3 O 0.146 0.402 0.453
O4 O 0.149 0.892 0.440
O5 O 0.347 0.852 0.056
O6 O 0.351 0.338 0.056
O7 O 0.377 0.763 0.692
O8 O 0.382 0.274 0.695
O9 O 0.610 0.735 0.315
O10 O 0.621 0.216 0.310
O11 O 0.646 0.657 0.952
O12 O 0.657 0.142 0.946
O13 O 0.843 0.603 0.566
O14 O 0.846 0.093 0.553
O15 O 0.865 0.516 0.184
O16 O 0.885 0.011 0.188
```

***

# 5
Structure and calculated powder X-ray diffraction pattern of Li3V4CrO8 (a crystal structure in the Materials Project, relaxed with PBE+U; Cu Kα, 1.54184 Å).
Kinematic intensities with the Lorentz-polarization factor, no thermal factor.

Principal peaks in the range 2θ = 10–80°, low angle first:
| 2θ/deg | intensity | hkl |
| --- | --- | --- |
| 17.9 | 100 | 2 0 -1 |
| 36.2 | 28 | 2 2 0 |
| 41.9 | 96 | 2 2 -2 |
| 42.5 | 46 | 4 0 0 |
| 61.1 | 26 | 2 2 2 |
| 61.2 | 25 | 6 2 -2 |

Atomic structure:
```
data_Li3V4CrO8
_symmetry_space_group_name_H-M 'C 1 2/m 1'
_symmetry_Int_Tables_number 12
_cell_length_a 10.455
_cell_length_b 6.119
_cell_length_c 6.088
_cell_angle_alpha 90.00
_cell_angle_beta 125.48
_cell_angle_gamma 90.00
loop_
_symmetry_equiv_pos_as_xyz
'x,y,z'
'-x,-y,-z'
'-x,y,-z'
'x,-y,z'
'x+1/2,y+1/2,z'
'-x+1/2,-y+1/2,-z'
'-x+1/2,y+1/2,-z'
'x+1/2,-y+1/2,z'
loop_
_atom_site_label
_atom_site_type_symbol
_atom_site_fract_x
_atom_site_fract_y
_atom_site_fract_z
Li1 Li 0.000 0.000 0.000
Li2 Li 0.250 0.250 0.500
V1 V 0.000 0.000 0.500
V2 V 0.000 0.500 0.000
V3 V 0.250 0.250 0.000
Cr1 Cr 0.000 0.500 0.500
O1 O 0.008 0.263 0.746
O2 O 0.241 0.500 0.751
O3 O 0.250 0.000 0.773
```

***

# 6
Structure and calculated powder X-ray diffraction pattern of Li4V3Cr2O10 (a crystal structure in the Materials Project, relaxed with PBE+U; Cu Kα, 1.54184 Å).
Kinematic intensities with the Lorentz-polarization factor, no thermal factor.

Principal peaks in the range 2θ = 10–80°, low angle first:
| 2θ/deg | intensity | hkl |
| --- | --- | --- |
| 12.3 | 43 | 0 0 1 |
| 18.2 | 100 | 1 0 0 |
| 26.5 | 28 | 0 1 2 |
| 41.9 | 46 | 1 1 -2 |
| 43.3 | 44 | -1 2 1 |
| 43.5 | 43 | 2 1 3 |

Atomic structure:
```
data_Li4V3Cr2O10
_symmetry_space_group_name_H-M 'P 1'
_symmetry_Int_Tables_number 1
_cell_length_a 5.131
_cell_length_b 5.156
_cell_length_c 7.847
_cell_angle_alpha 72.13
_cell_angle_beta 72.12
_cell_angle_gamma 79.79
loop_
_symmetry_equiv_pos_as_xyz
'x,y,z'
loop_
_atom_site_label
_atom_site_type_symbol
_atom_site_fract_x
_atom_site_fract_y
_atom_site_fract_z
Li1 Li 0.000 0.000 0.000
Li2 Li 0.004 0.575 0.843
Li3 Li 0.479 0.298 0.917
Li4 Li 0.985 0.180 0.643
V1 V 0.000 0.797 0.410
V2 V 0.496 0.118 0.296
V3 V 0.504 0.489 0.518
Cr1 Cr 0.496 0.897 0.718
Cr2 Cr 0.512 0.698 0.099
O1 O 0.265 0.023 0.183
O2 O 0.265 0.858 0.545
O3 O 0.278 0.255 0.740
O4 O 0.278 0.467 0.353
O5 O 0.280 0.676 0.947
O6 O 0.711 0.335 0.081
O7 O 0.725 0.122 0.465
O8 O 0.726 0.769 0.271
O9 O 0.734 0.929 0.867
O10 O 0.754 0.567 0.640
```

***

# 7
Structure and calculated powder X-ray diffraction pattern of Li2VCr3O8 (a crystal structure in the Materials Project, relaxed with PBE+U; Cu Kα, 1.54184 Å).
Kinematic intensities with the Lorentz-polarization factor, no thermal factor.

Principal peaks in the range 2θ = 10–80°, low angle first:
| 2θ/deg | intensity | hkl |
| --- | --- | --- |
| 17.9 | 100 | 0 0 1 |
| 35.5 | 10 | 4 0 -1 |
| 35.7 | 22 | 2 2 -1 |
| 42.5 | 20 | 4 0 0 |
| 43.1 | 38 | 2 2 -2 |
| 62.9 | 15 | 0 4 0 |

Atomic structure:
```
data_Li2VCr3O8
_symmetry_space_group_name_H-M 'C 1 2/m 1'
_symmetry_Int_Tables_number 12
_cell_length_a 10.237
_cell_length_b 5.909
_cell_length_c 5.974
_cell_angle_alpha 90.00
_cell_angle_beta 123.73
_cell_angle_gamma 90.00
loop_
_symmetry_equiv_pos_as_xyz
'x,y,z'
'-x,-y,-z'
'-x,y,-z'
'x,-y,z'
'x+1/2,y+1/2,z'
'-x+1/2,-y+1/2,-z'
'-x+1/2,y+1/2,-z'
'x+1/2,-y+1/2,z'
loop_
_atom_site_label
_atom_site_type_symbol
_atom_site_fract_x
_atom_site_fract_y
_atom_site_fract_z
Li1 Li 0.250 0.250 0.000
V1 V 0.000 0.000 0.500
Cr1 Cr 0.000 0.500 0.500
Cr2 Cr 0.250 0.250 0.500
O1 O 0.010 0.236 0.295
O2 O 0.227 0.000 0.713
O3 O 0.233 0.500 0.713
```

***

# 8
Structure and calculated powder X-ray diffraction pattern of Li5V5Cr2O12 (a crystal structure in the Materials Project, relaxed with PBE+U; Cu Kα, 1.54184 Å).
Kinematic intensities with the Lorentz-polarization factor, no thermal factor.

Principal peaks in the range 2θ = 10–80°, low angle first:
| 2θ/deg | intensity | hkl |
| --- | --- | --- |
| 18.1 | 41 | 0 0 2 |
| 23.4 | 30 | 1 1 1 |
| 42.2 | 100 | 1 3 -3 |
| 43.2 | 47 | 2 0 2 |
| 61.7 | 27 | 3 3 -1 |
| 62.2 | 26 | 1 3 5 |

Atomic structure:
```
data_Li5V5Cr2O12
_symmetry_space_group_name_H-M 'C 1 2 1'
_symmetry_Int_Tables_number 5
_cell_length_a 5.197
_cell_length_b 9.068
_cell_length_c 9.985
_cell_angle_alpha 90.00
_cell_angle_beta 101.56
_cell_angle_gamma 90.00
loop_
_symmetry_equiv_pos_as_xyz
'x,y,z'
'-x,y,-z'
'x+1/2,y+1/2,z'
'-x+1/2,y+1/2,-z'
loop_
_atom_site_label
_atom_site_type_symbol
_atom_site_fract_x
_atom_site_fract_y
_atom_site_fract_z
Li1 Li 0.000 0.000 0.000
Li2 Li 0.242 0.005 0.764
Li3 Li 0.246 0.835 0.237
V1 V 0.000 0.337 0.000
V2 V 0.000 0.499 0.500
V3 V 0.000 0.835 0.500
V4 V 0.249 0.162 0.245
Cr1 Cr 0.000 0.167 0.500
Cr2 Cr 0.000 0.667 0.000
O1 O 0.111 0.506 0.882
O2 O 0.118 0.006 0.385
O3 O 0.125 0.669 0.388
O4 O 0.127 0.326 0.387
O5 O 0.128 0.178 0.881
O6 O 0.130 0.823 0.880
```